1.
Calculated PXRD pattern
Compound: Cs3MoCl7
Radiation: a wavelength of 1.5418 Å
Structure: a PBE-relaxed structure
No peak broadening, texture or thermal motion is included.

Cell and atoms:
a = 10.298 Å, b = 10.298 Å, c = 7.318 Å
α = 90.00°, β = 90.00°, γ = 90.00°
Fractional coordinates of all 22 atoms:
1 Cs 0.000 0.000 0.000
2 Cs 0.180 0.320 0.500
3 Cs 0.320 0.820 0.500
4 Cs 0.500 0.500 0.000
5 Cs 0.680 0.180 0.500
6 Cs 0.820 0.680 0.500
7 Mo 0.000 0.500 0.000
8 Mo 0.500 0.000 0.000
9 Cl 0.000 0.000 0.500
10 Cl 0.116 0.616 0.233
11 Cl 0.116 0.616 0.767
12 Cl 0.165 0.335 0.000
13 Cl 0.335 0.835 0.000
14 Cl 0.384 0.116 0.233
15 Cl 0.384 0.116 0.767
16 Cl 0.500 0.500 0.500
17 Cl 0.616 0.884 0.233
18 Cl 0.616 0.884 0.767
19 Cl 0.665 0.165 0.000
20 Cl 0.835 0.665 0.000
21 Cl 0.884 0.384 0.233
22 Cl 0.884 0.384 0.767

The 12 most intense peaks (2θ from 5° to 70°), sorted by position:
2θ = 19.27°, I = 23; 2θ = 21.10°, I = 100; 2θ = 22.81°, I = 29; 2θ = 24.32°, I = 36; 2θ = 24.45°, I = 52; 2θ = 27.39°, I = 39; 2θ = 31.23°, I = 89; 2θ = 34.76°, I = 40; 2θ = 35.96°, I = 23; 2θ = 37.00°, I = 28; 2θ = 46.60°, I = 27; 2θ = 58.01°, I = 28

***

2.
Calculated PXRD pattern
Compound: KLi2SnCl8
Radiation: a wavelength of 1.5418 Å
Structure: a PBE-relaxed structure
No peak broadening, texture or thermal motion is included.

Cell and atoms:
a = 5.643 Å, b = 6.298 Å, c = 8.810 Å
α = 90.05°, β = 90.31°, γ = 91.43°
Fractional coordinates of all 12 atoms:
1 K 0.000 0.000 0.000
2 Li 0.500 0.499 0.282
3 Li 0.500 0.501 0.718
4 Sn 0.000 0.000 0.500
5 Cl 0.236 0.840 0.297
6 Cl 0.238 0.841 0.704
7 Cl 0.257 0.330 0.500
8 Cl 0.257 0.481 0.000
9 Cl 0.743 0.519 0.000
10 Cl 0.743 0.670 0.500
11 Cl 0.762 0.159 0.296
12 Cl 0.764 0.160 0.703

The 12 most intense peaks (2θ from 5° to 70°), sorted by position:
2θ = 10.04°, I = 100; 2θ = 14.07°, I = 45; 2θ = 15.71°, I = 60; 2θ = 17.31°, I = 76; 2θ = 20.16°, I = 44; 2θ = 21.41°, I = 67; 2θ = 29.13°, I = 59; 2θ = 29.23°, I = 60; 2θ = 32.93°, I = 50; 2θ = 34.51°, I = 30; 2θ = 35.04°, I = 37; 2θ = 40.98°, I = 51

***

3.
Calculated PXRD pattern
Compound: Sr6ZnAg2
Radiation: a wavelength of 1.5418 Å
Structure: a PBE-relaxed structure
No peak broadening, texture or thermal motion is included.

Cell and atoms:
a = 11.085 Å, b = 8.953 Å, c = 7.653 Å
α = 83.36°, β = 53.35°, γ = 43.30°
Fractional coordinates of all 9 atoms:
1 Sr 0.033 0.300 0.700
2 Sr 0.300 0.033 0.967
3 Sr 0.366 0.634 0.366
4 Sr 0.634 0.366 0.634
5 Sr 0.700 0.967 0.033
6 Sr 0.967 0.700 0.300
7 Zn 0.000 0.000 0.000
8 Ag 0.335 0.335 0.665
9 Ag 0.665 0.665 0.335

The 12 most intense peaks (2θ from 5° to 70°), sorted by position:
2θ = 12.44°, I = 20; 2θ = 29.23°, I = 100; 2θ = 31.58°, I = 26; 2θ = 31.78°, I = 26; 2θ = 38.85°, I = 28; 2θ = 45.42°, I = 19; 2θ = 54.80°, I = 16; 2θ = 55.05°, I = 16; 2θ = 61.15°, I = 7; 2θ = 61.38°, I = 7; 2θ = 61.55°, I = 7; 2θ = 61.67°, I = 7